1.
Structure and simulated PXRD pattern of KVPO5 (the PBE+U geometry in Alexandria; Cu Ka).
Neutral-atom scattering factors, no anomalous dispersion.

Peak list (10 most intense, 5° ≤ 2θ ≤ 70°, low angle first)
d/Å	Position (°2θ)	I (rel.)
5.751	15.41	31
5.397	16.42	48
4.559	19.47	69
3.739	23.80	43
3.544	25.13	80
3.372	26.43	93
3.344	26.66	60
3.136	28.46	100
2.684	33.38	41
2.655	33.76	48

Structural model:
```
data_KVPO5
_chemical_formula_sum 'K4 V4 P4 O20'
_cell_length_a 7.4815
_cell_length_b 7.7936
_cell_length_c 8.5206
_cell_angle_alpha 90.00
_cell_angle_beta 90.00
_cell_angle_gamma 90.00
_symmetry_space_group_name_H-M 'P 21 21 21'
_symmetry_Int_Tables_number 19
loop_
_symmetry_equiv_pos_as_xyz
'x,y,z'
'-x+1/2,-y,z+1/2'
'x+1/2,-y+1/2,-z'
'-x,y+1/2,-z+1/2'
loop_
_atom_site_label
_atom_site_fract_x
_atom_site_fract_y
_atom_site_fract_z
K1 0.1149 0.0393 0.2395
V1 0.1159 0.4487 0.8860
P1 0.1202 0.3155 0.5991
O1 0.0308 0.9146 0.8112
O2 0.0642 0.1312 0.5573
O3 0.0793 0.3113 0.0278
O4 0.1755 0.4056 0.4445
O5 0.2276 0.6765 0.2255
```


2.
Structure and simulated PXRD pattern of K2V3P4O17 (the PBE+U geometry in Alexandria; Cu Ka).
Neutral-atom scattering factors, no anomalous dispersion.

Peak list (10 most intense, 5° ≤ 2θ ≤ 70°, low angle first)
d/Å	Position (°2θ)	I (rel.)
8.517	10.39	57
4.835	18.35	72
4.258	20.86	56
3.770	23.60	100
3.392	26.27	47
3.061	29.17	34
2.984	29.95	54
2.902	30.81	38
2.521	35.61	34
2.478	36.26	33

Structural model:
```
data_K2V3P4O17
_chemical_formula_sum 'K4 V6 P8 O34'
_cell_length_a 9.4173
_cell_length_b 5.0424
_cell_length_c 19.1216
_cell_angle_alpha 90.00
_cell_angle_beta 117.03
_cell_angle_gamma 90.00
_symmetry_space_group_name_H-M 'P 1 c 1'
_symmetry_Int_Tables_number 7
loop_
_symmetry_equiv_pos_as_xyz
'x,y,z'
'x,-y,z+1/2'
loop_
_atom_site_label
_atom_site_fract_x
_atom_site_fract_y
_atom_site_fract_z
K1 0.0000 0.2089 0.0000
K2 0.6573 0.2172 0.6592
V1 0.1743 0.2900 0.6772
V2 0.4695 0.3041 0.9833
V3 0.8218 0.3065 0.3299
P1 0.0255 0.2185 0.2342
P2 0.2041 0.2112 0.4065
P3 0.4398 0.1940 0.2540
P4 0.6189 0.1880 0.4266
O1 0.0350 0.0242 0.1758
O2 0.0413 0.1958 0.4069
O3 0.0440 0.4910 0.7153
O4 0.1078 0.2976 0.5818
O5 0.1718 0.1407 0.3178
O6 0.2711 0.4934 0.4248
O7 0.3191 0.0052 0.4592
O8 0.3238 0.3998 0.2019
O9 0.3716 0.0876 0.7358
O10 0.4739 0.2677 0.3427
O11 0.5381 0.2951 0.0788
O12 0.6008 0.1030 0.9454
O13 0.6023 0.1975 0.2532
O14 0.6060 0.3796 0.4847
O15 0.7740 0.2137 0.4190
O16 0.8241 0.3683 0.8283
O17 0.8714 0.1900 0.2427
```


Number 2 is which compound?
K2V3P4O17


What did the second record say?
Structure and simulated PXRD pattern of K2V3P4O17 (the PBE+U geometry in Alexandria; Cu Ka).
Neutral-atom scattering factors, no anomalous dispersion.

Peak list (10 most intense, 5° ≤ 2θ ≤ 70°, low angle first)
d/Å	Position (°2θ)	I (rel.)
8.517	10.39	57
4.835	18.35	72
4.258	20.86	56
3.770	23.60	100
3.392	26.27	47
3.061	29.17	34
2.984	29.95	54
2.902	30.81	38
2.521	35.61	34
2.478	36.26	33

Structural model:
```
data_K2V3P4O17
_chemical_formula_sum 'K4 V6 P8 O34'
_cell_length_a 9.4173
_cell_length_b 5.0424
_cell_length_c 19.1216
_cell_angle_alpha 90.00
_cell_angle_beta 117.03
_cell_angle_gamma 90.00
_symmetry_space_group_name_H-M 'P 1 c 1'
_symmetry_Int_Tables_number 7
loop_
_symmetry_equiv_pos_as_xyz
'x,y,z'
'x,-y,z+1/2'
loop_
_atom_site_label
_atom_site_fract_x
_atom_site_fract_y
_atom_site_fract_z
K1 0.0000 0.2089 0.0000
K2 0.6573 0.2172 0.6592
V1 0.1743 0.2900 0.6772
V2 0.4695 0.3041 0.9833
V3 0.8218 0.3065 0.3299
P1 0.0255 0.2185 0.2342
P2 0.2041 0.2112 0.4065
P3 0.4398 0.1940 0.2540
P4 0.6189 0.1880 0.4266
O1 0.0350 0.0242 0.1758
O2 0.0413 0.1958 0.4069
O3 0.0440 0.4910 0.7153
O4 0.1078 0.2976 0.5818
O5 0.1718 0.1407 0.3178
O6 0.2711 0.4934 0.4248
O7 0.3191 0.0052 0.4592
O8 0.3238 0.3998 0.2019
O9 0.3716 0.0876 0.7358
O10 0.4739 0.2677 0.3427
O11 0.5381 0.2951 0.0788
O12 0.6008 0.1030 0.9454
O13 0.6023 0.1975 0.2532
O14 0.6060 0.3796 0.4847
O15 0.7740 0.2137 0.4190
O16 0.8241 0.3683 0.8283
O17 0.8714 0.1900 0.2427
```


What is the formula in the first record?
KVPO5


What did the first record say?
Structure and simulated PXRD pattern of KVPO5 (the PBE+U geometry in Alexandria; Cu Ka).
Neutral-atom scattering factors, no anomalous dispersion.

Peak list (10 most intense, 5° ≤ 2θ ≤ 70°, low angle first)
d/Å	Position (°2θ)	I (rel.)
5.751	15.41	31
5.397	16.42	48
4.559	19.47	69
3.739	23.80	43
3.544	25.13	80
3.372	26.43	93
3.344	26.66	60
3.136	28.46	100
2.684	33.38	41
2.655	33.76	48

Structural model:
```
data_KVPO5
_chemical_formula_sum 'K4 V4 P4 O20'
_cell_length_a 7.4815
_cell_length_b 7.7936
_cell_length_c 8.5206
_cell_angle_alpha 90.00
_cell_angle_beta 90.00
_cell_angle_gamma 90.00
_symmetry_space_group_name_H-M 'P 21 21 21'
_symmetry_Int_Tables_number 19
loop_
_symmetry_equiv_pos_as_xyz
'x,y,z'
'-x+1/2,-y,z+1/2'
'x+1/2,-y+1/2,-z'
'-x,y+1/2,-z+1/2'
loop_
_atom_site_label
_atom_site_fract_x
_atom_site_fract_y
_atom_site_fract_z
K1 0.1149 0.0393 0.2395
V1 0.1159 0.4487 0.8860
P1 0.1202 0.3155 0.5991
O1 0.0308 0.9146 0.8112
O2 0.0642 0.1312 0.5573
O3 0.0793 0.3113 0.0278
O4 0.1755 0.4056 0.4445
O5 0.2276 0.6765 0.2255
```